Calculated powder XRD pattern
Compound: K2Na4Co2O5
Radiation: Cu Kα (λ = 1.5418 Å)
Structure: a crystal structure in OQMD, relaxed with PBE+U
No peak broadening, texture or thermal motion is included.

Structural model:
```
data_K2Na4Co2O5
_symmetry_space_group_name_H-M 'P 42/m n m'
_symmetry_Int_Tables_number 136
_symmetry_space_group_name_Hall '-P 4n 2n'
_cell_length_a 6.290
_cell_length_b 6.290
_cell_length_c 10.295
_cell_angle_alpha 90.00
_cell_angle_beta 90.00
_cell_angle_gamma 90.00
loop_
_atom_site_label
_atom_site_type_symbol
_atom_site_fract_x
_atom_site_fract_y
_atom_site_fract_z
_atom_site_occupancy
K1 K 0.196 0.196 0.000 1
Na1 Na 0.000 0.000 0.280 1
Na2 Na 0.000 0.500 0.250 1
Co1 Co 0.215 0.215 0.500 1
O1 O 0.000 0.000 0.500 1
O2 O 0.214 0.786 0.164 1
```

Principal peaks in the range 10 to 90 degrees two-theta, by intensity:
2theta  Rel. int.
33.39  100
40.56  57
36.40  39
21.77  37
34.86  32
17.23  25